Calculated X-ray powder pattern of Pm4Ho3Tm3 for CuKα, from a DFT-relaxed cell (PBE, Alexandria).
No peak broadening, texture or thermal motion is included.

Lattice parameters (Å, degrees): 3.7784 9.2461 9.2461 90.05 90.00 90.00
Element x y z (fractional)
Pm 0.0000 0.0000 0.0000
Pm 0.0000 0.2611 0.2611
Pm 0.0000 0.5001 0.7621
Pm 0.0000 0.7621 0.5001
Ho 0.0000 0.1298 0.6313
Ho 0.0000 0.6313 0.1298
Ho 0.5000 0.4623 0.4623
Tm 0.5000 0.2990 0.9622
Tm 0.5000 0.7991 0.7991
Tm 0.5000 0.9622 0.2990

Principal peaks in the range 2θ = 10–90°, by angle:
- 2θ = 30.6°, rel. 88
- 2θ = 32.1°, rel. 100
- 2θ = 48.2°, rel. 19
- 2θ = 56.3°, rel. 22
- 2θ = 58.1°, rel. 22
- 2θ = 59.1°, rel. 19